Sm2BeSi4Pt3: calculated powder diffractogram (copper Kα), based on DFT lattice parameters and positions (PBE).
No peak broadening, texture or thermal motion is included.

Cell and atoms:
Unit cell a=4.165 b=4.165 c=9.982 alpha=90.00 beta=90.00 gamma=90.00
Space group P-4m2 (No. 115)
Symmetry-distinct sites (fractional):
Sm 0.000 0.500 0.246
Be 0.500 0.500 0.000
Si 0.000 0.000 0.500
Si 0.000 0.500 0.869
Si 0.500 0.500 0.500
Pt 0.000 0.000 0.000
Pt 0.000 0.500 0.625

The 8 most intense peaks (10 to 90 degrees two-theta), low angle first:
two_theta, I_rel, (hkl)
27.90, 64, 1 0 2
30.35, 41, 1 1 0
31.68, 41, 1 1 1
34.50, 100, 1 0 3
35.39, 72, 1 1 2
43.46, 65, 2 0 0
50.71, 35, 1 0 5
56.63, 49, 2 1 3